Theoretical X-ray powder pattern
Compound: CaAl2Cr2
Radiation: a wavelength of 1.5418 Å
Structure: a cell relaxed with PBE

Top 12 peaks for 2θ from 15° to 90°, in order of rising 2θ:
| 2theta | I (rel.) | hkl |
| --- | --- | --- |
| 16.17 | 42 | 1 1 0 |
| 22.95 | 20 | 2 0 0 |
| 32.67 | 32 | 2 2 0 |
| 33.19 | 25 | 0 0 1 |
| 36.66 | 69 | 3 1 0 |
| 40.74 | 71 | 2 0 1 |
| 42.03 | 64 | 3 2 0 |
| 42.44 | 100 | 2 1 1 |
| 48.42 | 25 | 4 1 0 |
| 54.57 | 32 | 3 2 1 |
| 60.94 | 18 | 5 1 0 |
| 71.18 | 42 | 5 1 1 |

```
CaAl2Cr2
1.0
7.752 0.000 0.000
0.000 7.752 0.000
0.000 0.000 2.699
Ca Al Cr
2 4 4
Direct
0.000 0.000 0.000
0.500 0.500 0.000
0.184 0.316 0.500
0.316 0.816 0.500
0.684 0.184 0.500
0.816 0.684 0.500
0.102 0.602 0.000
0.398 0.102 0.000
0.602 0.898 0.000
0.898 0.398 0.000
```